Entry 1:
Structure and theoretical X-ray diffraction stick pattern of Li9Mn7O16 (the GGA+U geometry in the Materials Project; Cu Kα X-rays).
Intensities are scaled so that the largest is 100.

Structure:
Cell: 5.094 6.060 10.430 Å, 76.19 75.90 76.13°
Space group P-1 (No. 2)
Symmetry-distinct sites (fractional):
Li1 0.000 0.000 0.000 [1 per cell]
Li2 0.488 0.185 0.879 [2 per cell]
Li3 0.494 0.065 0.626 [2 per cell]
Li4 0.498 0.313 0.122 [2 per cell]
Li5 0.499 0.438 0.375 [2 per cell]
Mn1 0.000 0.500 0.000 [1 per cell]
Mn2 0.002 0.749 0.500 [2 per cell]
Mn3 0.003 0.873 0.754 [2 per cell]
Mn4 0.005 0.363 0.754 [2 per cell]
O1 0.216 0.190 0.064 [2 per cell]
O2 0.220 0.285 0.316 [2 per cell]
O3 0.226 0.644 0.069 [2 per cell]
O4 0.229 0.036 0.806 [2 per cell]
O5 0.230 0.393 0.570 [2 per cell]
O6 0.233 0.892 0.568 [2 per cell]
O7 0.235 0.513 0.822 [2 per cell]
O8 0.235 0.769 0.317 [2 per cell]

Main lines, sorted by position (15° ≤ 2θ ≤ 90°):
two_theta	I/Imax	hkl
18.3	100	1 0 0
34.0	18	0 2 -1
36.1	24	1 2 3
40.9	35	1 -2 1
44.1	55	2 2 3
46.9	10	-1 2 3
58.2	9	3 2 3
61.4	9	1 4 2
61.5	8	0 2 -5
62.0	16	-2 2 3
63.7	9	3 2 -1
64.6	8	1 2 7



Entry 2:
Structure and theoretical X-ray diffraction stick pattern of FeSi4O6 (the GGA+U geometry in the Materials Project; Cu Kα X-rays).
Intensities are scaled so that the largest is 100.

Structure:
Cell: 2.855 6.463 10.481 Å, 90.71 95.16 100.19°
Space group P1 (No. 1)
Symmetry-distinct sites (fractional):
Fe1 0.000 0.000 0.000 [1 per cell]
Si1 0.458 0.265 0.591 [1 per cell]
Si2 0.564 0.373 0.811 [1 per cell]
Si3 0.578 0.613 0.371 [1 per cell]
Si4 0.816 0.940 0.580 [1 per cell]
O1 0.032 0.562 0.295 [1 per cell]
O2 0.126 0.506 0.839 [1 per cell]
O3 0.479 0.879 0.080 [1 per cell]
O4 0.521 0.169 0.905 [1 per cell]
O5 0.550 0.471 0.500 [1 per cell]
O6 0.710 0.857 0.425 [1 per cell]

Main lines, sorted by position (15° ≤ 2θ ≤ 90°):
two_theta	I/Imax	hkl
16.5	100	0 1 1
17.0	43	0 0 2
21.7	59	0 1 -2
22.4	35	0 1 2
28.1	13	0 2 0
29.1	11	0 2 -1
29.6	26	0 1 3
32.6	10	1 -1 0
33.4	11	0 2 2
37.6	11	1 1 -1
38.9	16	1 -2 0
43.4	10	0 0 5



Entry 3:
Structure and theoretical X-ray diffraction stick pattern of U2CoAs2O24 (the GGA+U geometry in the Materials Project; Cu Kα X-rays).
Intensities are scaled so that the largest is 100.

Structure:
Cell: 7.106 7.184 11.008 Å, 101.79 100.39 91.39°
Space group P-1 (No. 2)
Symmetry-distinct sites (fractional):
U1 0.223 0.220 0.397 [2 per cell]
Co1 0.500 0.000 0.000 [1 per cell]
As1 0.247 0.751 0.497 [2 per cell]
O1 0.086 0.740 0.596 [2 per cell]
O2 0.153 0.311 0.817 [2 per cell]
O3 0.174 0.162 0.223 [2 per cell]
O4 0.181 0.911 0.404 [2 per cell]
O5 0.248 0.470 0.830 [2 per cell]
O6 0.258 0.532 0.401 [2 per cell]
O7 0.276 0.277 0.569 [2 per cell]
O8 0.349 0.176 0.046 [2 per cell]
O9 0.386 0.834 0.087 [2 per cell]
O10 0.422 0.467 0.812 [2 per cell]
O11 0.465 0.072 0.839 [2 per cell]
O12 0.465 0.819 0.596 [2 per cell]

Main lines, sorted by position (15° ≤ 2θ ≤ 90°):
two_theta	I/Imax	hkl
16.5	100	1 0 1
16.8	47	0 0 2
18.5	53	1 1 0
18.7	37	0 1 -2
19.0	82	1 0 -2
23.1	70	0 1 2
25.0	84	0 2 -1
25.3	73	2 0 -1
25.4	45	0 2 0
25.5	50	2 0 0
25.8	41	0 1 -3
28.5	31	0 2 1



Entry 4:
Structure and theoretical X-ray diffraction stick pattern of LiMnF4 (the GGA+U geometry in the Materials Project; Cu Kα X-rays).
Intensities are scaled so that the largest is 100.

Structure:
Cell: 6.356 6.652 6.420 Å, 90.00 90.00 90.00°
Space group Imma (No. 74)
Symmetry-distinct sites (fractional):
Li1 0.000 0.250 0.237 [4 per cell]
Mn1 0.250 0.250 0.750 [4 per cell]
F1 0.000 0.055 0.747 [8 per cell]
F2 0.244 0.250 0.038 [8 per cell]

Main lines, sorted by position (15° ≤ 2θ ≤ 90°):
two_theta	I/Imax	hkl
19.2	100	0 1 1
26.8	36	0 2 0
27.8	28	0 0 2
28.1	16	2 0 0
34.2	22	2 1 1
39.2	71	2 2 0
44.5	26	0 1 3
52.3	28	2 3 1
53.4	20	2 1 3
58.0	12	4 0 0
67.6	21	2 3 3
71.7	13	2 2 4